1.
The following is a calculated X-ray diffraction stick pattern of ReO2F3. It was derived from a DFT-relaxed cell (GGA-PBE, Alexandria), using λ = 1.5418 Å (Cu Kα).
Kinematic intensities with the Lorentz-polarization factor, no thermal factor.

Cell and atoms:
```
data_ReO2F3
_chemical_formula_sum 'Re16 O32 F48'
_symmetry_space_group_name_H-M 'C m c e'
_symmetry_Int_Tables_number 64
_symmetry_space_group_name_Hall '-C 2ac 2'
_cell_length_a 11.4950
_cell_length_b 10.5166
_cell_length_c 13.8840
_cell_angle_alpha 90.00
_cell_angle_beta 90.00
_cell_angle_gamma 90.00
loop_
_atom_site_label
_atom_site_type_symbol
_atom_site_fract_x
_atom_site_fract_y
_atom_site_fract_z
Re1 Re 0.0000 0.1658 0.1761
Re2 Re 0.2399 0.0000 0.5000
O1 O 0.1155 0.2292 0.2360
O2 O 0.1469 0.0660 0.4185
F1 F 0.0000 0.0052 0.2339
F2 F 0.0000 0.2218 0.5711
F3 F 0.1154 0.0671 0.0814
F4 F 0.2239 0.1468 0.9302
```

Main lines, in order of rising 2θ (5° ≤ 2θ ≤ 70°):
hkl 1 1 2, 2θ = 17.14°, I = 56.6
hkl 0 2 1, 2θ = 18.04°, I = 30.6
hkl 2 0 2, 2θ = 20.06°, I = 100.0
hkl 0 2 2, 2θ = 21.20°, I = 53.6
hkl 2 2 0, 2θ = 22.92°, I = 47.2
hkl 2 2 1, 2θ = 23.81°, I = 29.7
hkl 2 2 2, 2θ = 26.32°, I = 21.7
hkl 3 1 2, 2θ = 27.92°, I = 19.4
hkl 3 3 3, 2θ = 39.92°, I = 21.3
hkl 4 2 4, 2θ = 44.40°, I = 17.3

2.
The following is a calculated X-ray diffraction stick pattern of ReOF5. It was derived from a DFT-relaxed cell (GGA-PBE, Alexandria), using λ = 1.5418 Å (Cu Kα).
Kinematic intensities with the Lorentz-polarization factor, no thermal factor.

Cell and atoms:
```
data_ReOF5
_chemical_formula_sum 'Re2 O2 F10'
_symmetry_space_group_name_H-M 'P -1'
_symmetry_Int_Tables_number 2
_cell_length_a 5.5560
_cell_length_b 5.9902
_cell_length_c 7.2504
_cell_angle_alpha 80.57
_cell_angle_beta 73.45
_cell_angle_gamma 77.31
loop_
_symmetry_equiv_pos_as_xyz
'x,y,z'
'-x,-y,-z'
loop_
_atom_site_label
_atom_site_type_symbol
_atom_site_fract_x
_atom_site_fract_y
_atom_site_fract_z
Re1 Re 0.0000 0.0000 0.0000
Re2 Re 0.5000 0.5000 0.5000
O1 O 0.2136 0.5117 0.6914
F1 F 0.1410 0.0266 0.7370
F2 F 0.2114 0.7191 0.0245
F3 F 0.2410 0.1482 0.0324
F4 F 0.3532 0.7752 0.3707
F5 F 0.3716 0.3245 0.3680
```

Main lines, in order of rising 2θ (5° ≤ 2θ ≤ 70°):
hkl 1 0 1, 2θ = 18.43°, I = 100.0
hkl 0 1 1, 2θ = 18.86°, I = 91.3
hkl 1 1 0, 2θ = 20.65°, I = 72.0
hkl 0 1 -1, 2θ = 21.02°, I = 66.4
hkl 1 0 -1, 2θ = 23.83°, I = 52.2
hkl 1 -1 0, 2θ = 24.89°, I = 41.7
hkl 0 0 2, 2θ = 25.79°, I = 35.7
hkl 1 1 2, 2θ = 28.00°, I = 27.4
hkl 2 1 1, 2θ = 33.34°, I = 18.7
hkl 1 -2 1, 2θ = 40.00°, I = 31.0

3.
The following is a calculated X-ray diffraction stick pattern of TmReO4F. It was derived from a DFT-relaxed cell (GGA-PBE, Alexandria), using λ = 1.5418 Å (Cu Kα).
Kinematic intensities with the Lorentz-polarization factor, no thermal factor.

Cell and atoms:
```
data_TmReO4F
_chemical_formula_sum 'Tm4 Re4 O16 F4'
_symmetry_space_group_name_H-M 'C 1 2/m 1'
_symmetry_Int_Tables_number 12
_cell_length_a 9.5887
_cell_length_b 6.9979
_cell_length_c 6.9868
_cell_angle_alpha 90.00
_cell_angle_beta 107.12
_cell_angle_gamma 90.00
loop_
_symmetry_equiv_pos_as_xyz
'x,y,z'
'-x,-y,-z'
'-x,y,-z'
'x,-y,z'
'x+1/2,y+1/2,z'
'-x+1/2,-y+1/2,-z'
'-x+1/2,y+1/2,-z'
'x+1/2,-y+1/2,z'
loop_
_atom_site_label
_atom_site_type_symbol
_atom_site_fract_x
_atom_site_fract_y
_atom_site_fract_z
Tm1 Tm 0.1984 0.0000 0.0867
Re1 Re 0.1464 0.5000 0.2959
O1 O 0.0449 0.5000 0.7666
O2 O 0.2115 0.3188 0.1489
O3 O 0.2454 0.5000 0.5504
F1 F 0.0072 0.0000 0.8283
```

Main lines, in order of rising 2θ (5° ≤ 2θ ≤ 70°):
hkl 0 0 1, 2θ = 13.26°, I = 34.5
hkl 2 0 0, 2θ = 19.37°, I = 48.8
hkl 1 1 1, 2θ = 22.56°, I = 35.9
hkl 0 2 0, 2θ = 25.46°, I = 96.8
hkl 2 0 1, 2θ = 26.64°, I = 63.8
hkl 1 1 -2, 2θ = 28.62°, I = 100.0
hkl 3 1 -1, 2θ = 31.13°, I = 51.1
hkl 2 2 1, 2θ = 37.18°, I = 38.2
hkl 1 1 3, 2θ = 46.58°, I = 33.1
hkl 1 3 -2, 2θ = 46.87°, I = 32.8

4.
The following is a calculated X-ray diffraction stick pattern of YReO4F2. It was derived from a DFT-relaxed cell (GGA-PBE, Alexandria), using λ = 1.5418 Å (Cu Kα).
Kinematic intensities with the Lorentz-polarization factor, no thermal factor.

Cell and atoms:
```
data_YReO4F2
_chemical_formula_sum 'Y1 Re1 O4 F2'
_symmetry_space_group_name_H-M 'P 1'
_symmetry_Int_Tables_number 1
_cell_length_a 4.6196
_cell_length_b 5.4437
_cell_length_c 5.5333
_cell_angle_alpha 87.35
_cell_angle_beta 69.27
_cell_angle_gamma 75.70
loop_
_symmetry_equiv_pos_as_xyz
'x,y,z'
loop_
_atom_site_label
_atom_site_type_symbol
_atom_site_fract_x
_atom_site_fract_y
_atom_site_fract_z
Y1 Y 0.0000 0.0000 0.0000
Re1 Re 0.1541 0.4503 0.4508
O1 O 0.0441 0.2034 0.3439
O2 O 0.0619 0.3614 0.7809
O3 O 0.5558 0.3783 0.2555
O4 O 0.9432 0.7185 0.3330
F1 F 0.2473 0.7615 0.6461
F2 F 0.5525 0.9585 0.9600
```

Main lines, in order of rising 2θ (5° ≤ 2θ ≤ 70°):
hkl 0 1 0, 2θ = 16.82°, I = 22.9
hkl 0 0 1, 2θ = 17.15°, I = 27.4
hkl 1 0 0, 2θ = 21.22°, I = 97.3
hkl 1 0 1, 2θ = 22.09°, I = 24.5
hkl 0 1 -1, 2θ = 23.55°, I = 100.0
hkl 0 1 1, 2θ = 24.67°, I = 65.0
hkl 1 1 1, 2θ = 24.99°, I = 60.4
hkl 1 -1 1, 2θ = 30.55°, I = 29.4
hkl 0 2 0, 2θ = 34.03°, I = 25.3
hkl 0 0 2, 2θ = 34.70°, I = 23.6

5.
The following is a calculated X-ray diffraction stick pattern of RhO3F6. It was derived from a DFT-relaxed cell (GGA-PBE, Alexandria), using λ = 1.5418 Å (Cu Kα).
Kinematic intensities with the Lorentz-polarization factor, no thermal factor.

Cell and atoms:
```
data_RhO3F6
_chemical_formula_sum 'Rh2 O6 F12'
_symmetry_space_group_name_H-M 'C 1 2 1'
_symmetry_Int_Tables_number 5
_cell_length_a 9.1206
_cell_length_b 6.4908
_cell_length_c 5.3531
_cell_angle_alpha 90.00
_cell_angle_beta 91.51
_cell_angle_gamma 90.00
loop_
_symmetry_equiv_pos_as_xyz
'x,y,z'
'-x,y,-z'
'x+1/2,y+1/2,z'
'-x+1/2,y+1/2,-z'
loop_
_atom_site_label
_atom_site_type_symbol
_atom_site_fract_x
_atom_site_fract_y
_atom_site_fract_z
Rh1 Rh 0.0000 0.0000 0.0000
O1 O 0.0000 0.4668 0.5000
O2 O 0.1043 0.5644 0.6112
F1 F 0.1174 0.7942 0.1508
F2 F 0.1176 0.2044 0.1532
F3 F 0.1211 0.0017 0.7209
```

Main lines, in order of rising 2θ (5° ≤ 2θ ≤ 70°):
hkl 0 0 1, 2θ = 16.57°, I = 43.4
hkl 1 1 0, 2θ = 16.77°, I = 100.0
hkl 2 0 0, 2θ = 19.47°, I = 61.0
hkl 1 1 -1, 2θ = 23.47°, I = 80.0
hkl 1 1 1, 2θ = 23.84°, I = 82.0
hkl 0 2 0, 2θ = 27.48°, I = 18.0
hkl 2 2 0, 2θ = 33.91°, I = 21.8
hkl 2 2 1, 2θ = 38.20°, I = 37.0
hkl 2 0 -2, 2θ = 38.56°, I = 28.3
hkl 2 2 2, 2θ = 48.81°, I = 19.4

6.
The following is a calculated X-ray diffraction stick pattern of RhO2F5. It was derived from a DFT-relaxed cell (GGA-PBE, Alexandria), using λ = 1.5418 Å (Cu Kα).
Kinematic intensities with the Lorentz-polarization factor, no thermal factor.

Cell and atoms:
```
data_RhO2F5
_chemical_formula_sum 'Rh1 O2 F5'
_symmetry_space_group_name_H-M 'P -1'
_symmetry_Int_Tables_number 2
_cell_length_a 4.0024
_cell_length_b 6.1694
_cell_length_c 6.2094
_cell_angle_alpha 95.19
_cell_angle_beta 108.76
_cell_angle_gamma 108.87
loop_
_symmetry_equiv_pos_as_xyz
'x,y,z'
'-x,-y,-z'
loop_
_atom_site_label
_atom_site_type_symbol
_atom_site_fract_x
_atom_site_fract_y
_atom_site_fract_z
Rh1 Rh 0.0000 0.0000 0.0000
O1 O 0.1510 0.5019 0.4995
F1 F 0.1801 0.0339 0.3269
F2 F 0.1845 0.3298 0.0398
F3 F 0.5000 0.0000 0.0000
```

Main lines, in order of rising 2θ (5° ≤ 2θ ≤ 70°):
hkl 0 0 1, 2θ = 15.44°, I = 95.8
hkl 0 1 0, 2θ = 15.55°, I = 93.7
hkl 0 1 -1, 2θ = 19.42°, I = 91.5
hkl 1 0 -1, 2θ = 24.28°, I = 100.0
hkl 1 0 0, 2θ = 25.35°, I = 93.0
hkl 0 0 2, 2θ = 31.17°, I = 41.4
hkl 0 2 0, 2θ = 31.40°, I = 41.8
hkl 1 -1 1, 2θ = 32.08°, I = 24.4
hkl 1 -2 0, 2θ = 32.19°, I = 23.6
hkl 2 0 -1, 2θ = 48.18°, I = 36.9

What did the fifth record say?
The following is a calculated X-ray diffraction stick pattern of RhO3F6. It was derived from a DFT-relaxed cell (GGA-PBE, Alexandria), using λ = 1.5418 Å (Cu Kα).
Kinematic intensities with the Lorentz-polarization factor, no thermal factor.

Cell and atoms:
```
data_RhO3F6
_chemical_formula_sum 'Rh2 O6 F12'
_symmetry_space_group_name_H-M 'C 1 2 1'
_symmetry_Int_Tables_number 5
_cell_length_a 9.1206
_cell_length_b 6.4908
_cell_length_c 5.3531
_cell_angle_alpha 90.00
_cell_angle_beta 91.51
_cell_angle_gamma 90.00
loop_
_symmetry_equiv_pos_as_xyz
'x,y,z'
'-x,y,-z'
'x+1/2,y+1/2,z'
'-x+1/2,y+1/2,-z'
loop_
_atom_site_label
_atom_site_type_symbol
_atom_site_fract_x
_atom_site_fract_y
_atom_site_fract_z
Rh1 Rh 0.0000 0.0000 0.0000
O1 O 0.0000 0.4668 0.5000
O2 O 0.1043 0.5644 0.6112
F1 F 0.1174 0.7942 0.1508
F2 F 0.1176 0.2044 0.1532
F3 F 0.1211 0.0017 0.7209
```

Main lines, in order of rising 2θ (5° ≤ 2θ ≤ 70°):
hkl 0 0 1, 2θ = 16.57°, I = 43.4
hkl 1 1 0, 2θ = 16.77°, I = 100.0
hkl 2 0 0, 2θ = 19.47°, I = 61.0
hkl 1 1 -1, 2θ = 23.47°, I = 80.0
hkl 1 1 1, 2θ = 23.84°, I = 82.0
hkl 0 2 0, 2θ = 27.48°, I = 18.0
hkl 2 2 0, 2θ = 33.91°, I = 21.8
hkl 2 2 1, 2θ = 38.20°, I = 37.0
hkl 2 0 -2, 2θ = 38.56°, I = 28.3
hkl 2 2 2, 2θ = 48.81°, I = 19.4

- Number 5 is which compound?
  RhO3F6

- Which formula does entry 5 have?
  RhO3F6

Please write out number 4 again, unchanged.
The following is a calculated X-ray diffraction stick pattern of YReO4F2. It was derived from a DFT-relaxed cell (GGA-PBE, Alexandria), using λ = 1.5418 Å (Cu Kα).
Kinematic intensities with the Lorentz-polarization factor, no thermal factor.

Cell and atoms:
```
data_YReO4F2
_chemical_formula_sum 'Y1 Re1 O4 F2'
_symmetry_space_group_name_H-M 'P 1'
_symmetry_Int_Tables_number 1
_cell_length_a 4.6196
_cell_length_b 5.4437
_cell_length_c 5.5333
_cell_angle_alpha 87.35
_cell_angle_beta 69.27
_cell_angle_gamma 75.70
loop_
_symmetry_equiv_pos_as_xyz
'x,y,z'
loop_
_atom_site_label
_atom_site_type_symbol
_atom_site_fract_x
_atom_site_fract_y
_atom_site_fract_z
Y1 Y 0.0000 0.0000 0.0000
Re1 Re 0.1541 0.4503 0.4508
O1 O 0.0441 0.2034 0.3439
O2 O 0.0619 0.3614 0.7809
O3 O 0.5558 0.3783 0.2555
O4 O 0.9432 0.7185 0.3330
F1 F 0.2473 0.7615 0.6461
F2 F 0.5525 0.9585 0.9600
```

Main lines, in order of rising 2θ (5° ≤ 2θ ≤ 70°):
hkl 0 1 0, 2θ = 16.82°, I = 22.9
hkl 0 0 1, 2θ = 17.15°, I = 27.4
hkl 1 0 0, 2θ = 21.22°, I = 97.3
hkl 1 0 1, 2θ = 22.09°, I = 24.5
hkl 0 1 -1, 2θ = 23.55°, I = 100.0
hkl 0 1 1, 2θ = 24.67°, I = 65.0
hkl 1 1 1, 2θ = 24.99°, I = 60.4
hkl 1 -1 1, 2θ = 30.55°, I = 29.4
hkl 0 2 0, 2θ = 34.03°, I = 25.3
hkl 0 0 2, 2θ = 34.70°, I = 23.6